The following is a computed powder diffractogram of Sn5HgPb8. It was derived from a DFT-relaxed cell (GGA-PBE, Alexandria), using copper Kα.
Kinematic intensities with the Lorentz-polarization factor, no thermal factor.

Top 6 peaks for 10° ≤ 2θ ≤ 90°, sorted by position:
2theta	d [Å]	I/Imax
29.49	3.029	533
29.66	3.012	1000
35.16	2.552	895
35.25	2.546	440
46.68	1.946	218
59.83	1.546	302

Crystal structure
a b c (Å): 8.264 8.264 8.264
angles (deg): 109.65 109.65 109.12
Sites, in units of the cell vectors:
Sn: 0.000 0.000 0.000
Sn: 0.160 0.517 0.892
Sn: 0.483 0.375 0.643
Sn: 0.625 0.268 0.108
Sn: 0.732 0.840 0.357
Hg: 0.250 0.750 0.500
Pb: 0.000 0.260 0.402
Pb: 0.189 0.104 0.738
Pb: 0.366 0.451 0.262
Pb: 0.402 0.000 0.260
Pb: 0.549 0.811 0.915
Pb: 0.740 0.142 0.740
Pb: 0.858 0.598 0.598
Pb: 0.896 0.634 0.085

The following is a computed powder diffractogram of Sn2Hg2Pb5. It was derived from a DFT-relaxed cell (GGA-PBE, Alexandria), using copper Kα.
Kinematic intensities with the Lorentz-polarization factor, no thermal factor.

Top 6 peaks for 10° ≤ 2θ ≤ 90°, sorted by position:
2theta	d [Å]	I/Imax
31.50	2.840	1000
31.59	2.832	491
32.08	2.790	468
35.41	2.535	366
36.26	2.477	337
38.46	2.341	295

Crystal structure
a b c (Å): 6.078 8.943 10.709
angles (deg): 70.88 82.98 74.42
Sites, in units of the cell vectors:
Sn: 0.000 0.000 0.000
Sn: 0.064 0.749 0.769
Sn: 0.424 0.102 0.107
Sn: 0.639 0.648 0.661
Hg: 0.032 0.375 0.884
Hg: 0.299 0.323 0.324
Hg: 0.533 0.875 0.885
Hg: 0.766 0.427 0.445
Pb: 0.141 0.136 0.677
Pb: 0.198 0.533 0.555
Pb: 0.257 0.931 0.442
Pb: 0.370 0.705 0.218
Pb: 0.481 0.495 0.986
Pb: 0.584 0.255 0.783
Pb: 0.695 0.045 0.551
Pb: 0.807 0.818 0.326
Pb: 0.865 0.217 0.213
Pb: 0.924 0.613 0.092

What did the first record say?
The following is a computed powder diffractogram of Sn5HgPb8. It was derived from a DFT-relaxed cell (GGA-PBE, Alexandria), using copper Kα.
Kinematic intensities with the Lorentz-polarization factor, no thermal factor.

Top 6 peaks for 10° ≤ 2θ ≤ 90°, sorted by position:
2theta	d [Å]	I/Imax
29.49	3.029	533
29.66	3.012	1000
35.16	2.552	895
35.25	2.546	440
46.68	1.946	218
59.83	1.546	302

Crystal structure
a b c (Å): 8.264 8.264 8.264
angles (deg): 109.65 109.65 109.12
Sites, in units of the cell vectors:
Sn: 0.000 0.000 0.000
Sn: 0.160 0.517 0.892
Sn: 0.483 0.375 0.643
Sn: 0.625 0.268 0.108
Sn: 0.732 0.840 0.357
Hg: 0.250 0.750 0.500
Pb: 0.000 0.260 0.402
Pb: 0.189 0.104 0.738
Pb: 0.366 0.451 0.262
Pb: 0.402 0.000 0.260
Pb: 0.549 0.811 0.915
Pb: 0.740 0.142 0.740
Pb: 0.858 0.598 0.598
Pb: 0.896 0.634 0.085

Number 2 is which compound?
Sn2Hg2Pb5

What is the formula in the second record?
Sn2Hg2Pb5